[1]
Diffraction record for ErThNp. The powder XRD pattern is theoretical, not measured: it uses the PBE geometry in Alexandria and λ = 1.5418 Å (Cu Kα).
Kinematic intensities with the Lorentz-polarization factor, no thermal factor.

Structure:
```
data_ErThNp
_chemical_formula_sum 'Er4 Th4 Np4'
_cell_length_a 16.989
_cell_length_b 3.498
_cell_length_c 5.718
_cell_angle_alpha 90.00
_cell_angle_beta 99.53
_cell_angle_gamma 90.00
_space_group_name_H-M_alt 'C 1 2/m 1'
_space_group_IT_number 12
_space_group_name_Hall '-C 2y'
loop_
_atom_site_label
_atom_site_type_symbol
_atom_site_fract_x
_atom_site_fract_y
_atom_site_fract_z
Er1 Er 0.061 0.000 0.280
Th1 Th 0.129 0.500 0.810
Np1 Np 0.235 0.500 0.358
```

Main lines, by angle (2θ = 15–90°):
| 2θ/deg | I/Imax | h k l |
| --- | --- | --- |
| 28.57 | 37 | 4 0 1 |
| 30.15 | 53 | 3 1 0 |
| 31.75 | 55 | 0 0 2 |
| 32.88 | 100 | 3 1 -1 |
| 33.37 | 74 | 6 0 -1 |
| 35.43 | 76 | 3 1 1 |
| 42.23 | 60 | 3 1 -2 |
| 52.31 | 25 | 0 2 0 |
| 60.97 | 27 | 9 1 -2 |
| 63.48 | 30 | 6 2 -1 |

***

[2]
Diffraction record for ErOsO. The powder XRD pattern is theoretical, not measured: it uses the PBE geometry in Alexandria and λ = 1.5418 Å (Cu Kα).
Kinematic intensities with the Lorentz-polarization factor, no thermal factor.

Structure:
```
data_ErOsO
_chemical_formula_sum 'Er2 Os2 O2'
_cell_length_a 3.178
_cell_length_b 3.178
_cell_length_c 9.826
_cell_angle_alpha 90.00
_cell_angle_beta 90.00
_cell_angle_gamma 90.00
_space_group_name_H-M_alt 'P 4/n m m'
_space_group_IT_number 129
loop_
_space_group_symop_operation_xyz
'x,y,z'
'-x,-y,-z'
'-y+1/2,x,z'
'y+1/2,-x,-z'
'-x+1/2,-y+1/2,z'
'x+1/2,y+1/2,-z'
'y,-x+1/2,z'
'-y,x+1/2,-z'
'x+1/2,-y,-z'
'-x+1/2,y,z'
'-y,-x,-z'
'y,x,z'
'-x,y+1/2,-z'
'x,-y+1/2,z'
'y+1/2,x+1/2,-z'
'-y+1/2,-x+1/2,z'
loop_
_atom_site_label
_atom_site_type_symbol
_atom_site_fract_x
_atom_site_fract_y
_atom_site_fract_z
Er1 Er 0.250 0.250 0.149
Os1 Os 0.250 0.250 0.443
O1 O 0.250 0.250 0.899
```

Main lines, by angle (2θ = 15–90°):
| 2θ/deg | I/Imax | h k l |
| --- | --- | --- |
| 18.06 | 22 | 0 0 2 |
| 27.23 | 56 | 0 0 3 |
| 29.54 | 100 | 1 0 1 |
| 39.51 | 54 | 1 0 3 |
| 40.12 | 85 | 1 1 0 |
| 46.74 | 67 | 1 0 4 |
| 49.16 | 44 | 1 1 3 |
| 58.04 | 29 | 2 0 0 |
| 66.46 | 21 | 2 1 1 |
| 77.60 | 30 | 2 1 4 |

***

[3]
Diffraction record for ErOsO4. The powder XRD pattern is theoretical, not measured: it uses the PBE geometry in Alexandria and λ = 1.5418 Å (Cu Kα).
Kinematic intensities with the Lorentz-polarization factor, no thermal factor.

Structure:
```
data_ErOsO4
_chemical_formula_sum 'Er4 Os4 O16'
_cell_length_a 7.664
_cell_length_b 5.295
_cell_length_c 7.362
_cell_angle_alpha 90.00
_cell_angle_beta 99.49
_cell_angle_gamma 90.00
_space_group_name_H-M_alt 'P 1 21/c 1'
_space_group_IT_number 14
_space_group_name_Hall '-P 2ybc'
loop_
_atom_site_label
_atom_site_type_symbol
_atom_site_fract_x
_atom_site_fract_y
_atom_site_fract_z
Er1 Er 0.147 0.215 0.389
Os1 Os 0.340 0.729 0.202
O1 O 0.110 0.523 0.177
O2 O 0.190 0.018 0.119
O3 O 0.331 0.625 0.946
O4 O 0.446 0.084 0.804
```

Main lines, by angle (2θ = 15–90°):
| 2θ/deg | I/Imax | h k l |
| --- | --- | --- |
| 23.54 | 12 | 2 0 0 |
| 29.02 | 100 | 2 1 0 |
| 29.84 | 56 | 0 1 2 |
| 30.58 | 25 | 1 1 -2 |
| 33.86 | 24 | 0 2 0 |
| 35.63 | 16 | 2 1 -2 |
| 37.05 | 15 | 2 0 2 |
| 51.06 | 20 | 2 2 2 |
| 56.80 | 13 | 1 1 4 |
| 61.48 | 19 | 4 1 2 |

***

[4]
Diffraction record for ErTl2Os3O12. The powder XRD pattern is theoretical, not measured: it uses the PBE geometry in Alexandria and λ = 1.5418 Å (Cu Kα).
Kinematic intensities with the Lorentz-polarization factor, no thermal factor.

Structure:
```
data_ErTl2Os3O12
_chemical_formula_sum 'Er3 Tl6 Os9 O36'
_cell_length_a 7.3133
_cell_length_b 7.3133
_cell_length_c 18.7461
_cell_angle_alpha 90.00
_cell_angle_beta 90.00
_cell_angle_gamma 120.00
_space_group_name_H-M_alt 'R -3 m'
_space_group_IT_number 166
_space_group_name_Hall '-R 3 2"'
loop_
_atom_site_label
_atom_site_type_symbol
_atom_site_fract_x
_atom_site_fract_y
_atom_site_fract_z
Er1 Er 0.0000 0.0000 0.0000
Tl1 Tl 0.0000 0.0000 0.3431
Os1 Os 0.0000 0.5000 0.5000
O1 O 0.0400 0.5200 0.6000
O2 O 0.0835 0.5417 0.8430
```

Main lines, by angle (2θ = 15–90°):
| 2θ/deg | I/Imax | h k l |
| --- | --- | --- |
| 24.34 | 14 | 1 1 0 |
| 28.28 | 100 | 1 1 3 |
| 28.58 | 72 | 0 0 6 |
| 29.78 | 25 | 2 0 2 |
| 45.34 | 30 | 3 0 3 |
| 49.88 | 29 | 2 2 0 |
| 50.42 | 19 | 1 1 9 |
| 58.49 | 33 | 2 2 6 |
| 69.68 | 16 | 1 4 3 |
| 80.95 | 14 | 2 2 12 |

***

[5]
Diffraction record for Y2ErOsO8. The powder XRD pattern is theoretical, not measured: it uses the PBE geometry in Alexandria and λ = 1.5418 Å (Cu Kα).
Kinematic intensities with the Lorentz-polarization factor, no thermal factor.

Structure:
```
data_Y2ErOsO8
_chemical_formula_sum 'Y4 Er2 Os2 O16'
_cell_length_a 7.085
_cell_length_b 7.165
_cell_length_c 6.750
_cell_angle_alpha 90.00
_cell_angle_beta 90.00
_cell_angle_gamma 90.00
_space_group_name_H-M_alt 'C m m m'
_space_group_IT_number 65
_space_group_name_Hall '-C 2 2'
loop_
_atom_site_label
_atom_site_type_symbol
_atom_site_fract_x
_atom_site_fract_y
_atom_site_fract_z
Y1 Y 0.000 0.000 0.246
Er1 Er 0.000 0.500 0.000
Os1 Os 0.000 0.500 0.500
O1 O 0.000 0.318 0.289
O2 O 0.195 0.000 0.000
O3 O 0.235 0.000 0.500
```

Main lines, by angle (2θ = 15–90°):
| 2θ/deg | I/Imax | h k l |
| --- | --- | --- |
| 17.60 | 28 | 1 1 0 |
| 24.85 | 61 | 0 2 0 |
| 25.14 | 56 | 2 0 0 |
| 31.92 | 100 | 1 1 2 |
| 35.64 | 28 | 2 2 0 |
| 48.42 | 42 | 1 3 2 |
| 48.75 | 37 | 3 1 2 |
| 57.65 | 11 | 2 4 0 |
| 61.69 | 23 | 3 3 2 |
| 66.71 | 11 | 2 2 4 |

***

[6]
Diffraction record for ErP3O9. The powder XRD pattern is theoretical, not measured: it uses the PBE geometry in Alexandria and λ = 1.5418 Å (Cu Kα).
Kinematic intensities with the Lorentz-polarization factor, no thermal factor.

Structure:
```
data_ErP3O9
_chemical_formula_sum 'Er4 P12 O36'
_cell_length_a 8.447
_cell_length_b 11.009
_cell_length_c 7.193
_cell_angle_alpha 90.00
_cell_angle_beta 90.00
_cell_angle_gamma 90.00
_space_group_name_H-M_alt 'C 2 2 21'
_space_group_IT_number 20
_space_group_name_Hall 'C 2c 2'
loop_
_atom_site_label
_atom_site_type_symbol
_atom_site_fract_x
_atom_site_fract_y
_atom_site_fract_z
Er1 Er 0.126 0.000 0.000
P1 P 0.013 0.321 0.458
P2 P 0.249 0.000 0.500
O1 O 0.000 0.370 0.250
O2 O 0.017 0.188 0.029
O3 O 0.137 0.389 0.951
O4 O 0.151 0.019 0.674
O5 O 0.163 0.373 0.537
```

Main lines, by angle (2θ = 15–90°):
| 2θ/deg | I/Imax | h k l |
| --- | --- | --- |
| 16.10 | 83 | 0 2 0 |
| 18.09 | 54 | 1 1 1 |
| 24.44 | 47 | 2 0 1 |
| 24.76 | 100 | 0 0 2 |
| 26.48 | 73 | 1 3 0 |
| 29.41 | 69 | 2 2 1 |
| 35.19 | 36 | 3 1 1 |
| 36.59 | 38 | 1 3 2 |
| 46.56 | 39 | 2 2 3 |
| 50.73 | 28 | 0 0 4 |